Entry 1:
Simulated PXRD pattern
Compound: SmPu3Pd4
Radiation: Cu Kα (weighted mean of Kα1 and Kα2)
Structure: a crystal structure in Alexandria, relaxed with PBE

Peak list (12 most intense, 5 to 70 degrees two-theta, by intensity)
- hkl 1 1 2, d 2.495, I 100
- hkl 0 0 4, d 2.520, I 26
- hkl 0 2 0, d 2.506, I 25
- hkl 1 3 2, d 1.445, I 19
- hkl 1 1 6, d 1.450, I 19
- hkl 0 2 4, d 1.777, I 18
- hkl 0 1 2, d 3.554, I 13
- hkl 2 2 0, d 1.436, I 9
- hkl 2 0 4, d 1.439, I 9
- hkl 2 0 0, d 1.752, I 9
- hkl 1 0 0, d 3.504, I 6
- hkl 0 3 2, d 1.585, I 4

Structural model:
a b c (Å): 3.5042 5.0130 10.0788
angles (deg): 90.00 90.00 90.00
Space group Pmmm (No. 47)
Unique sites:
Sm (0.0000, 0.0000, 0.0000) [1 per cell]
Pu (0.0000, 0.0000, 0.5000) [1 per cell]
Pu (0.0000, 0.5000, 0.2549) [2 per cell]
Pd (0.5000, 0.0000, 0.2468) [2 per cell]
Pd (0.5000, 0.5000, 0.0000) [1 per cell]
Pd (0.5000, 0.5000, 0.5000) [1 per cell]

Entry 2:
Simulated PXRD pattern
Compound: Ho3ZnPt3
Radiation: Cu Kα (weighted mean of Kα1 and Kα2)
Structure: a crystal structure in Alexandria, relaxed with PBE

Peak list (12 most intense, 5 to 70 degrees two-theta, by intensity)
- hkl 1 3 3, d 2.299, I 100
- hkl 1 1 4, d 2.572, I 68
- hkl 2 0 0, d 2.048, I 36
- hkl 0 4 1, d 2.553, I 31
- hkl 0 0 6, d 2.325, I 30
- hkl 1 3 0, d 2.644, I 29
- hkl 1 1 2, d 3.344, I 28
- hkl 2 0 6, d 1.537, I 17
- hkl 1 7 1, d 1.388, I 16
- hkl 1 1 3, d 2.947, I 16
- hkl 2 4 1, d 1.598, I 15
- hkl 0 4 4, d 2.083, I 14

Structural model:
a b c (Å): 4.0958 10.3892 13.9474
angles (deg): 90.00 90.00 90.00
Space group Cmcm (No. 63)
Unique sites:
Ho (0.0000, 0.0347, 0.2500) [4 per cell]
Ho (0.0000, 0.3061, 0.1059) [8 per cell]
Zn (0.0000, 0.0000, 0.0000) [4 per cell]
Pt (0.0000, 0.2362, 0.7500) [4 per cell]
Pt (0.0000, 0.4074, 0.5923) [8 per cell]

Entry 3:
Simulated PXRD pattern
Compound: AcCe2PuO8
Radiation: Cu Kα (weighted mean of Kα1 and Kα2)
Structure: a crystal structure in Alexandria, relaxed with PBE

Peak list (12 most intense, 5 to 70 degrees two-theta, by intensity)
- hkl 0 2 0, d 3.305, I 100
- hkl 1 1 -1, d 3.193, I 96
- hkl 0 1 -2, d 3.081, I 85
- hkl -1 1 1, d 3.441, I 77
- hkl 1 0 1, d 3.067, I 72
- hkl 0 1 2, d 2.979, I 71
- hkl 1 2 1, d 2.138, I 41
- hkl 1 0 -3, d 2.221, I 41
- hkl 0 1 0, d 6.611, I 40
- hkl 0 3 -2, d 1.887, I 36
- hkl 2 1 0, d 1.816, I 34
- hkl 1 -2 1, d 2.378, I 26

Structural model:
a b c (Å): 4.0499 6.6529 7.0421
angles (deg): 90.79 104.41 96.01
Space group P-1 (No. 2)
Unique sites:
Ac (0.0000, 0.0000, 0.0000) [1 per cell]
Ce (0.3589, 0.4452, 0.7343) [2 per cell]
Pu (0.5000, 0.0000, 0.5000) [1 per cell]
O (0.1316, 0.1392, 0.3683) [2 per cell]
O (0.2364, 0.6324, 0.4254) [2 per cell]
O (0.2771, 0.3657, 0.0475) [2 per cell]
O (0.4531, 0.1122, 0.7924) [2 per cell]